Starting from a crystal structure in the Materials Project, relaxed with GGA-PBE, the powder diffraction line list of CdRe2C4S4N8O8 was simulated for CuKα.
No peak broadening, texture or thermal motion is included.

Cell and atoms:
a b c (Å): 7.1406 14.0055 13.0645
angles (deg): 90.00 112.11 90.00
Space group P2_1/c (No. 14)
One atom of each set of equivalent atoms:
Cd1 0.0000 0.0000 0.0000 [2 per cell]
Re1 0.4040 0.0250 0.2885 [4 per cell]
C1 0.1178 0.2390 0.5375 [4 per cell]
C2 0.4395 0.6331 0.4914 [4 per cell]
S1 0.0086 0.1614 0.8638 [4 per cell]
S2 0.1530 0.5996 0.2881 [4 per cell]
N1 0.0370 0.2410 0.4285 [4 per cell]
N2 0.1967 0.2323 0.6343 [4 per cell]
N3 0.2684 0.6147 0.4148 [4 per cell]
N4 0.4108 0.1498 0.9308 [4 per cell]
O1 0.2466 0.5245 0.8492 [4 per cell]
O2 0.2740 0.0275 0.1392 [4 per cell]
O3 0.3781 0.0430 0.6794 [4 per cell]
O4 0.4731 0.1398 0.3387 [4 per cell]

Principal peaks in the range 2θ = 10–90°, sorted by position:
- 12.6 deg, d 7.003, intensity 93, hkl 0 2 0
- 14.1 deg, d 6.278, intensity 100, hkl 1 1 -1
- 14.6 deg, d 6.056, intensity 33, hkl 0 0 2
- 18.4 deg, d 4.809, intensity 27, hkl 1 2 0
- 19.4 deg, d 4.579, intensity 29, hkl 0 2 2
- 22.0 deg, d 4.043, intensity 26, hkl 1 1 -3
- 22.9 deg, d 3.883, intensity 75, hkl 1 3 -1
- 23.4 deg, d 3.808, intensity 27, hkl 1 0 2
- 26.6 deg, d 3.346, intensity 35, hkl 1 2 2
- 28.4 deg, d 3.138, intensity 38, hkl 2 1 -3
- 30.0 deg, d 2.976, intensity 24, hkl 1 4 -2
- 31.3 deg, d 2.862, intensity 22, hkl 2 1 1



Starting from a crystal structure in the Materials Project, relaxed with GGA-PBE, the powder diffraction line list of CdC4S2N4O4 was simulated for CuKα.
No peak broadening, texture or thermal motion is included.

Cell and atoms:
a b c (Å): 8.7504 18.4779 3.9484
angles (deg): 90.00 90.00 90.00
Space group P2_12_12 (No. 18)
One atom of each set of equivalent atoms:
Cd1 0.0000 0.0000 0.1169 [2 per cell]
C1 0.1508 0.1408 0.6521 [4 per cell]
C2 0.1744 0.3702 0.8884 [4 per cell]
S1 0.1825 0.0498 0.6056 [4 per cell]
N1 0.0560 0.1950 0.5907 [4 per cell]
N2 0.2118 0.1993 0.7881 [4 per cell]
O1 0.0532 0.3482 0.9572 [4 per cell]
O2 0.2041 0.8941 0.1818 [4 per cell]

Principal peaks in the range 2θ = 10–90°, sorted by position:
- 11.2 deg, d 7.908, intensity 100, hkl 1 1 0
- 17.6 deg, d 5.037, intensity 27, hkl 1 3 0
- 20.9 deg, d 4.257, intensity 9, hkl 2 1 0
- 25.2 deg, d 3.533, intensity 13, hkl 1 1 1
- 26.2 deg, d 3.404, intensity 13, hkl 1 5 0
- 26.6 deg, d 3.353, intensity 18, hkl 1 2 1
- 28.1 deg, d 3.177, intensity 8, hkl 2 4 0
- 28.7 deg, d 3.107, intensity 22, hkl 1 3 1
- 32.0 deg, d 2.794, intensity 13, hkl 2 2 1
- 35.7 deg, d 2.518, intensity 8, hkl 2 6 0
- 41.2 deg, d 2.193, intensity 10, hkl 0 7 1
- 46.3 deg, d 1.963, intensity 8, hkl 0 1 2



Starting from a crystal structure in the Materials Project, relaxed with GGA-PBE, the powder diffraction line list of CdPdC6N6 was simulated for CuKα.
No peak broadening, texture or thermal motion is included.

Cell and atoms:
a b c (Å): 11.0544 11.0544 11.0544
angles (deg): 90.00 90.00 90.00
Space group Fm-3m (No. 225)
One atom of each set of equivalent atoms:
Cd1 0.0000 0.0000 0.0000 [4 per cell]
Pd1 0.0000 0.0000 0.5000 [4 per cell]
C1 0.0000 0.0000 0.3173 [24 per cell]
N1 0.0000 0.0000 0.2119 [24 per cell]

Principal peaks in the range 2θ = 10–90°, sorted by position:
- 16.0 deg, d 5.527, intensity 100, hkl 2 0 0
- 22.8 deg, d 3.908, intensity 37, hkl 2 2 0
- 32.4 deg, d 2.764, intensity 23, hkl 4 0 0
- 36.3 deg, d 2.472, intensity 36, hkl 4 2 0
- 40.0 deg, d 2.256, intensity 12, hkl 4 2 2
- 46.5 deg, d 1.954, intensity 12, hkl 4 4 0
- 49.5 deg, d 1.842, intensity 17, hkl 6 0 0
- 52.3 deg, d 1.748, intensity 12, hkl 6 2 0
- 55.1 deg, d 1.667, intensity 5, hkl 6 2 2
- 60.4 deg, d 1.533, intensity 10, hkl 6 4 0
- 62.9 deg, d 1.477, intensity 11, hkl 6 4 2
- 70.2 deg, d 1.341, intensity 9, hkl 6 4 4



Starting from a crystal structure in the Materials Project, relaxed with GGA-PBE, the powder diffraction line list of RbCdC3S3N3 was simulated for CuKα.
No peak broadening, texture or thermal motion is included.

Cell and atoms:
a b c (Å): 5.8079 13.6639 13.8896
angles (deg): 90.00 111.51 90.00
Space group P2_1/c (No. 14)
One atom of each set of equivalent atoms:
Rb1 0.0904 0.2145 0.2128 [4 per cell]
Cd1 0.0000 0.0000 0.0000 [2 per cell]
Cd2 0.5000 0.0000 0.5000 [2 per cell]
C1 0.0707 0.5950 0.0902 [4 per cell]
C2 0.3506 0.5557 0.7438 [4 per cell]
C3 0.4896 0.6276 0.4898 [4 per cell]
S1 0.2281 0.1704 0.9707 [4 per cell]
S2 0.3113 0.6501 0.0812 [4 per cell]
S3 0.4794 0.6299 0.8412 [4 per cell]
N1 0.1067 0.0581 0.4021 [4 per cell]
N2 0.2564 0.5017 0.6737 [4 per cell]
N3 0.2824 0.5991 0.4594 [4 per cell]

Principal peaks in the range 2θ = 10–90°, sorted by position:
- 13.7 deg, d 6.461, intensity 35, hkl 0 0 2
- 16.6 deg, d 5.338, intensity 100, hkl 1 1 -1
- 18.9 deg, d 4.694, intensity 95, hkl 0 2 2
- 21.0 deg, d 4.227, intensity 35, hkl 1 1 1
- 23.9 deg, d 3.723, intensity 33, hkl 1 2 1
- 28.4 deg, d 3.146, intensity 36, hkl 0 1 4
- 28.9 deg, d 3.088, intensity 88, hkl 1 3 -3
- 31.6 deg, d 2.832, intensity 33, hkl 1 1 3
- 33.1 deg, d 2.705, intensity 36, hkl 2 0 0
- 33.5 deg, d 2.671, intensity 29, hkl 2 2 -2
- 36.3 deg, d 2.472, intensity 29, hkl 1 5 -1
- 37.1 deg, d 2.424, intensity 24, hkl 2 2 -4



Starting from a crystal structure in the Materials Project, relaxed with GGA-PBE, the powder diffraction line list of Cd2RuC6N6 was simulated for CuKα.
No peak broadening, texture or thermal motion is included.

Cell and atoms:
a b c (Å): 6.4495 6.4495 6.6353
angles (deg): 90.00 90.00 120.00
Space group P-31m (No. 162)
One atom of each set of equivalent atoms:
Cd1 0.3333 0.6667 0.0000 [2 per cell]
Ru1 0.0000 0.0000 0.5000 [1 per cell]
C1 0.0000 0.2474 0.6840 [6 per cell]
N1 0.0000 0.3839 0.8035 [6 per cell]

Principal peaks in the range 2θ = 10–90°, sorted by position:
- 13.3 deg, d 6.635, intensity 13, hkl 0 0 1
- 20.8 deg, d 4.273, intensity 100, hkl 1 0 1
- 27.7 deg, d 3.225, intensity 33, hkl 1 1 0
- 30.8 deg, d 2.900, intensity 17, hkl 1 1 1
- 34.9 deg, d 2.574, intensity 19, hkl 2 0 1
- 38.9 deg, d 2.312, intensity 50, hkl 1 1 2
- 45.1 deg, d 2.012, intensity 21, hkl 3 -1 1
- 48.9 deg, d 1.862, intensity 15, hkl 3 0 0
- 52.8 deg, d 1.734, intensity 10, hkl 2 0 3
- 60.6 deg, d 1.527, intensity 10, hkl 3 -1 3
- 61.5 deg, d 1.509, intensity 10, hkl 4 -1 1
- 64.2 deg, d 1.450, intensity 10, hkl 4 -2 2



Starting from a crystal structure in the Materials Project, relaxed with GGA-PBE, the powder diffraction line list of CdC12S4N6 was simulated for CuKα.
No peak broadening, texture or thermal motion is included.

Cell and atoms:
a b c (Å): 5.9423 6.6816 13.1652
angles (deg): 103.76 94.91 97.71
Space group P-1 (No. 2)
One atom of each set of equivalent atoms:
Cd1 0.0000 0.0000 0.0000 [1 per cell]
C1 0.0478 0.1199 0.2770 [2 per cell]
C2 0.2863 0.6321 0.2556 [2 per cell]
C3 0.3425 0.7094 0.3707 [2 per cell]
C4 0.4475 0.3882 0.6969 [2 per cell]
C5 0.4536 0.7341 0.9696 [2 per cell]
C6 0.4857 0.6631 0.2094 [2 per cell]
S1 0.0458 0.2189 0.4017 [2 per cell]
S2 0.1823 0.6368 0.9391 [2 per cell]
N1 0.0534 0.0445 0.1860 [2 per cell]
N2 0.3491 0.2006 0.0098 [2 per cell]
N3 0.4724 0.3796 0.5964 [2 per cell]

Principal peaks in the range 2θ = 10–90°, sorted by position:
- 13.8 deg, d 6.407, intensity 66, hkl 0 1 -1
- 14.0 deg, d 6.346, intensity 86, hkl 0 0 2
- 15.2 deg, d 5.844, intensity 55, hkl 1 0 0
- 17.0 deg, d 5.214, intensity 68, hkl 0 1 -2
- 18.8 deg, d 4.708, intensity 70, hkl 1 -1 0
- 21.0 deg, d 4.231, intensity 93, hkl 0 0 3
- 21.6 deg, d 4.121, intensity 100, hkl 1 1 -1
- 22.1 deg, d 4.029, intensity 62, hkl 0 1 -3
- 22.2 deg, d 4.011, intensity 92, hkl 1 1 0
- 26.9 deg, d 3.311, intensity 57, hkl 0 2 -1
- 31.6 deg, d 2.830, intensity 64, hkl -1 2 1
- 35.0 deg, d 2.564, intensity 54, hkl 2 1 -1



Starting from a crystal structure in the Materials Project, relaxed with GGA-PBE, the powder diffraction line list of CdC12S4N6 was simulated for CuKα.
No peak broadening, texture or thermal motion is included.

Cell and atoms:
a b c (Å): 6.0664 7.2900 13.1295
angles (deg): 75.03 79.62 84.54
Space group P-1 (No. 2)
One atom of each set of equivalent atoms:
Cd1 0.0000 0.0000 0.0000 [1 per cell]
C1 0.0939 0.1415 0.7188 [2 per cell]
C2 0.1375 0.6929 0.7043 [2 per cell]
C3 0.2395 0.8641 0.6480 [2 per cell]
C4 0.2849 0.4982 0.2763 [2 per cell]
C5 0.3764 0.7142 0.6837 [2 per cell]
C6 0.4788 0.2149 0.0340 [2 per cell]
S1 0.1695 0.1097 0.5948 [2 per cell]
S2 0.2192 0.2996 0.0362 [2 per cell]
N1 0.0571 0.1474 0.8083 [2 per cell]
N2 0.3318 0.8424 0.9662 [2 per cell]
N3 0.4303 0.3801 0.3014 [2 per cell]

Principal peaks in the range 2θ = 10–90°, sorted by position:
- 12.6 deg, d 7.033, intensity 63, hkl 0 1 0
- 14.9 deg, d 5.959, intensity 33, hkl 1 0 0
- 15.4 deg, d 5.754, intensity 33, hkl 1 0 1
- 16.5 deg, d 5.379, intensity 25, hkl 0 1 2
- 18.3 deg, d 4.858, intensity 41, hkl 1 1 1
- 20.0 deg, d 4.436, intensity 50, hkl 1 -1 0
- 21.3 deg, d 4.177, intensity 100, hkl 0 0 3
- 22.2 deg, d 4.005, intensity 36, hkl 1 0 -2
- 24.2 deg, d 3.683, intensity 29, hkl -1 1 2
- 27.5 deg, d 3.247, intensity 25, hkl 1 2 1
- 28.0 deg, d 3.185, intensity 26, hkl 1 2 2
- 30.3 deg, d 2.949, intensity 27, hkl 1 2 3